Structure and calculated PXRD pattern of PmS2O6 (a crystal structure in Alexandria, relaxed with GGA-PBE; Cu Ka).
Kinematic intensities with the Lorentz-polarization factor, no thermal factor.

Structure:
a b c (Å): 7.095 6.752 8.280
angles (deg): 55.20 51.40 73.40
Fractional positions:
Pm: 0.000 0.000 0.000
Pm: 0.250 0.250 0.250
S: 0.222 0.635 0.744
S: 0.506 0.851 0.028
S: 0.635 0.222 0.399
S: 0.851 0.506 0.615
O: 0.091 0.417 0.833
O: 0.131 0.862 0.619
O: 0.137 0.623 0.975
O: 0.275 0.984 0.113
O: 0.417 0.091 0.659
O: 0.417 0.591 0.159
O: 0.591 0.417 0.833
O: 0.623 0.137 0.266
O: 0.631 0.861 0.119
O: 0.861 0.631 0.388
O: 0.862 0.131 0.389
O: 0.984 0.275 0.627

Most intense lines, 2θ = 5–70°, in order of rising 2θ:
16.08°, intensity 100.0; 26.36°, intensity 40.0; 27.58°, intensity 72.7; 28.27°, intensity 51.5; 29.51°, intensity 29.0; 34.76°, intensity 24.7; 41.74°, intensity 27.5; 42.97°, intensity 32.8



Structure and calculated PXRD pattern of Pm2S2O (a crystal structure in Alexandria, relaxed with GGA-PBE; Cu Ka).
Kinematic intensities with the Lorentz-polarization factor, no thermal factor.

Structure:
a b c (Å): 7.813 7.813 7.186
angles (deg): 90.00 90.00 150.67
Fractional positions:
Pm: 0.052 0.948 0.500
Pm: 0.335 0.665 0.398
Pm: 0.665 0.335 0.898
Pm: 0.948 0.052 0.000
S: 0.299 0.701 0.017
S: 0.454 0.546 0.695
S: 0.546 0.454 0.195
S: 0.701 0.299 0.517
O: 0.094 0.906 0.833
O: 0.906 0.094 0.333

Most intense lines, 2θ = 5–70°, in order of rising 2θ:
24.78°, intensity 66.3; 26.39°, intensity 74.6; 26.65°, intensity 100.0; 28.69°, intensity 94.7; 31.33°, intensity 65.7; 34.23°, intensity 38.4; 38.26°, intensity 81.5; 39.50°, intensity 61.4



Structure and calculated PXRD pattern of Pm2YS2O2 (a crystal structure in Alexandria, relaxed with GGA-PBE; Cu Ka).
Kinematic intensities with the Lorentz-polarization factor, no thermal factor.

Structure:
a b c (Å): 4.279 4.279 14.945
angles (deg): 90.00 90.00 90.00
Fractional positions:
Pm: 0.000 0.000 0.134
Pm: 0.000 0.000 0.866
Pm: 0.500 0.500 0.366
Pm: 0.500 0.500 0.634
Y: 0.000 0.000 0.500
Y: 0.500 0.500 0.000
S: 0.000 0.000 0.320
S: 0.000 0.000 0.680
S: 0.500 0.500 0.180
S: 0.500 0.500 0.820
O: 0.000 0.500 0.000
O: 0.000 0.500 0.500
O: 0.500 0.000 0.000
O: 0.500 0.000 0.500

Most intense lines, 2θ = 5–70°, in order of rising 2θ:
27.48°, intensity 95.2; 29.52°, intensity 100.0; 36.67°, intensity 53.5; 38.28°, intensity 33.2; 42.24°, intensity 49.5; 51.13°, intensity 35.7; 57.15°, intensity 28.5; 69.46°, intensity 17.2



- Which formula does entry 3 have?
  Pm2YS2O2